Diffraction record for Mg2AsRu. The PXRD pattern is simulated, not measured: it uses a PBE-relaxed structure and Cu Kα.

Structural model:
```
Mg2AsRu
1.0
3.393 0.000 0.000
0.000 4.043 0.000
-1.681 0.000 5.180
Mg As Ru
2 1 1
direct
0.000 0.000 0.000 Mg
0.321 0.500 0.649 Mg
0.724 0.000 0.451 As
0.597 0.500 0.195 Ru
```

Main lines, low angle first (2θ from 10° to 90°):
- 17.1°, I = 88, hkl 0 0 1
- 27.7°, I = 100, hkl 1 0 -1
- 28.0°, I = 37, hkl 0 1 1
- 35.6°, I = 72, hkl 1 1 -1
- 41.4°, I = 84, hkl 0 1 2
- 43.6°, I = 88, hkl 1 1 1
- 44.8°, I = 36, hkl 0 2 0
- 53.5°, I = 31, hkl 1 2 -1
- 54.0°, I = 21, hkl 2 0 -1
- 70.2°, I = 17, hkl 2 1 1
- 70.4°, I = 17, hkl 2 1 -3
- 72.8°, I = 17, hkl 2 2 -1